Starting from a structure optimized by DFT (PBE+U), the powder XRD pattern of BaV2P2H8O14 was simulated for λ = 1.5418 Å (Cu Kα).

Structural model:
```
data_BaV2P2H8O14
_symmetry_space_group_name_H-M 'P 1 c 1'
_symmetry_Int_Tables_number 7
_symmetry_space_group_name_Hall 'P -2yc'
_cell_length_a 6.5814
_cell_length_b 14.0135
_cell_length_c 9.6606
_cell_angle_alpha 90.00
_cell_angle_beta 132.76
_cell_angle_gamma 90.00
loop_
_atom_site_label
_atom_site_type_symbol
_atom_site_fract_x
_atom_site_fract_y
_atom_site_fract_z
_atom_site_occupancy
Ba1 Ba 0.0000 0.2132 0.0000 1
V1 V 0.6673 0.4991 0.2698 1
V2 V 0.8096 0.0553 0.6080 1
P1 P 0.2286 0.4638 0.3253 1
P2 P 0.3699 0.0082 0.1486 1
H1 H 0.0473 0.4153 0.5713 1
H2 H 0.2861 0.1962 0.5524 1
H3 H 0.3214 0.1007 0.7852 1
H4 H 0.3449 0.3126 0.4559 1
H5 H 0.5752 0.2085 0.5979 1
H6 H 0.7379 0.1497 0.1628 1
H7 H 0.7446 0.2008 0.3100 1
H8 H 0.7745 0.3550 0.4979 1
O1 O 0.1656 0.0535 0.9554 1
O2 O 0.1968 0.0759 0.6549 1
O3 O 0.2911 0.4928 0.7107 1
O4 O 0.3270 0.3562 0.3568 1
O5 O 0.4009 0.4795 0.0095 1
O6 O 0.4258 0.2428 0.5899 1
O7 O 0.4871 0.0772 0.3128 1
O8 O 0.5924 0.0503 0.6797 1
O9 O 0.6959 0.2117 0.1911 1
O10 O 0.7824 0.3942 0.8607 1
O11 O 0.8333 0.0686 0.0846 1
O12 O 0.8471 0.1812 0.6523 1
O13 O 0.8587 0.3880 0.4579 1
O14 O 0.9250 0.4688 0.2269 1
```

Top 10 peaks for 10 to 80 degrees two-theta, sorted by position:
| 2θ/deg | intensity |
| --- | --- |
| 12.6 | 39 |
| 14.0 | 30 |
| 14.9 | 100 |
| 18.4 | 34 |
| 22.4 | 47 |
| 25.9 | 44 |
| 27.8 | 37 |
| 28.2 | 38 |
| 29.3 | 31 |
| 30.6 | 31 |

=====

Starting from a structure optimized by DFT (PBE+U), the powder XRD pattern of BaV2H2Se4O14 was simulated for λ = 1.5418 Å (Cu Kα).

Structural model:
```
data_BaV2H2Se4O14
_symmetry_space_group_name_H-M 'P 1 21/c 1'
_symmetry_Int_Tables_number 14
_symmetry_space_group_name_Hall '-P 2ybc'
_cell_length_a 9.8879
_cell_length_b 7.2061
_cell_length_c 10.0129
_cell_angle_alpha 90.00
_cell_angle_beta 116.53
_cell_angle_gamma 90.00
loop_
_atom_site_label
_atom_site_type_symbol
_atom_site_fract_x
_atom_site_fract_y
_atom_site_fract_z
_atom_site_occupancy
Ba1 Ba 0.0000 0.0000 0.0000 1
V1 V 0.2055 0.0260 0.4453 1
H1 H 0.3691 0.0687 0.0545 1
Se1 Se 0.1848 0.0052 0.7511 1
Se2 Se 0.4446 0.0739 0.3112 1
O1 O 0.0040 0.5660 0.2186 1
O2 O 0.1521 0.1527 0.6012 1
O3 O 0.1957 0.6896 0.9962 1
O4 O 0.2227 0.1539 0.8997 1
O5 O 0.2712 0.5201 0.7824 1
O6 O 0.4267 0.0902 0.5807 1
O7 O 0.4460 0.5029 0.6428 1
```

Top 10 peaks for 10 to 80 degrees two-theta, sorted by position:
| 2θ/deg | intensity |
| --- | --- |
| 15.8 | 15 |
| 21.0 | 38 |
| 24.7 | 100 |
| 26.0 | 22 |
| 27.8 | 16 |
| 29.0 | 67 |
| 30.0 | 59 |
| 30.3 | 95 |
| 37.5 | 17 |
| 46.7 | 16 |